Simulated powder X-ray diffraction pattern
Compound: CeMg2TlCo
Radiation: Cu Kα, 1.54184 Å
Structure: a structure optimized by DFT (PBE)

The 8 most intense peaks (10° ≤ 2θ ≤ 90°), in order of rising 2θ:
2θ (°)  I (rel.)
18.6  41
25.0  100
31.4  100
35.7  67
37.8  28
45.9  39
52.9  42
61.4  30

Structural model:
Cell: 5.0368 5.0368 4.7594 Å, 90.00 90.00 90.00°
Positions (direct):
Ce  0.0000  0.0000  0.0000
Mg  0.0000  0.5000  0.4977
Mg  0.5000  0.0000  0.4977
Tl  0.5000  0.5000  0.0161
Co  0.0000  0.0000  0.5432

---

Simulated powder X-ray diffraction pattern
Compound: CaGa2Ag10
Radiation: Cu Kα, 1.54184 Å
Structure: a structure optimized by DFT (PBE)

The 8 most intense peaks (10° ≤ 2θ ≤ 90°), in order of rising 2θ:
2θ (°)  I (rel.)
32.6  36
37.5  100
38.0  41
38.3  52
42.5  48
42.8  41
43.0  42
68.3  35

Structural model:
Cell: 9.5854 7.3429 7.2438 Å, 82.16 49.37 48.47°
Positions (direct):
Ca  0.0000  0.0000  0.0000
Ga  0.0000  0.5000  0.0000
Ga  0.5000  0.0000  0.5000
Ag  0.0000  0.0000  0.5000
Ag  0.0034  0.3501  0.6499
Ag  0.2834  0.4955  0.5045
Ag  0.3501  0.0034  0.9966
Ag  0.4955  0.2834  0.7166
Ag  0.5000  0.5000  0.0000
Ag  0.5045  0.7166  0.2834
Ag  0.6499  0.9966  0.0034
Ag  0.7166  0.5045  0.4955
Ag  0.9966  0.6499  0.3501

---

Simulated powder X-ray diffraction pattern
Compound: CeAg7Se6
Radiation: Cu Kα, 1.54184 Å
Structure: a structure optimized by DFT (PBE)

The 8 most intense peaks (10° ≤ 2θ ≤ 90°), in order of rising 2θ:
2θ (°)  I (rel.)
23.9  20
27.2  57
35.3  100
42.1  80
46.0  44
56.0  25
72.5  22
82.4  16

Structural model:
Cell: 8.1977 8.1977 8.1977 Å, 53.97 53.97 53.97°
Positions (direct):
Ce  0.0000  0.0000  0.0000
Ag  0.1330  0.4453  0.8051
Ag  0.1945  0.8687  0.5550
Ag  0.4453  0.8051  0.1330
Ag  0.5550  0.1945  0.8687
Ag  0.6656  0.6656  0.6656
Ag  0.8051  0.1330  0.4454
Ag  0.8687  0.5550  0.1945
Se  0.0674  0.7442  0.4088
Se  0.2625  0.5929  0.9254
Se  0.4088  0.0674  0.7442
Se  0.5929  0.9254  0.2625
Se  0.7442  0.4088  0.0674
Se  0.9254  0.2625  0.5929

---

Simulated powder X-ray diffraction pattern
Compound: Y3Ge4Os2
Radiation: Cu Kα, 1.54184 Å
Structure: a structure optimized by DFT (PBE)

The 8 most intense peaks (10° ≤ 2θ ≤ 90°), in order of rising 2θ:
2θ (°)  I (rel.)
11.5  57
17.5  59
26.4  31
30.0  31
33.5  100
35.0  41
41.3  62
41.8  72

Structural model:
Cell: 5.8087 5.8087 8.1725 Å, 108.18 108.18 44.17°
Positions (direct):
Y  0.0000  0.0000  0.0000
Y  0.3787  0.3787  0.3008
Y  0.6213  0.6213  0.6992
Ge  0.0927  0.0927  0.4045
Ge  0.2866  0.2866  0.9208
Ge  0.7134  0.7134  0.0792
Ge  0.9073  0.9073  0.5955
Os  0.3190  0.3190  0.6395
Os  0.6810  0.6810  0.3605

---

Simulated powder X-ray diffraction pattern
Compound: TbPr2Nd4Sc
Radiation: Cu Kα, 1.54184 Å
Structure: a structure optimized by DFT (PBE)

The 8 most intense peaks (10° ≤ 2θ ≤ 90°), in order of rising 2θ:
2θ (°)  I (rel.)
30.2  100
34.9  17
35.1  33
50.3  24
50.5  12
59.7  14
60.0  28
62.8  12

Structural model:
Cell: 5.1151 5.1396 10.2235 Å, 90.00 90.07 90.00°
Positions (direct):
Tb  0.0000  0.0000  0.0000
Pr  0.0000  0.0000  0.5000
Pr  0.5000  0.5000  0.0000
Nd  0.0006  0.5000  0.2552
Nd  0.5002  0.0000  0.2543
Nd  0.4998  0.0000  0.7457
Nd  0.9994  0.5000  0.7448
Sc  0.5000  0.5000  0.5000

---

Simulated powder X-ray diffraction pattern
Compound: PrZnCd
Radiation: Cu Kα, 1.54184 Å
Structure: a structure optimized by DFT (PBE)

The 8 most intense peaks (10° ≤ 2θ ≤ 90°), in order of rising 2θ:
2θ (°)  I (rel.)
33.0  100
36.8  70
50.3  30
63.9  29
65.1  25
66.4  12
87.7  12
88.8  11

Structural model:
Cell: 4.8793 4.8793 3.5407 Å, 90.00 90.00 120.00°
Positions (direct):
Pr  0.0000  0.0000  0.0000
Zn  0.6667  0.3333  0.5000
Cd  0.3333  0.6667  0.5000